This entry pairs a crystal structure of Cu2Sn2Pb3 with its simulated X-ray diffraction stick pattern. Radiation: Cu Kα (λ = 1.5418 Å). Structure: a cell relaxed with GGA-PBE.
Kinematic intensities with the Lorentz-polarization factor, no thermal factor.

Atomic structure:
a b c (Å): 8.828 8.828 8.828
angles (deg): 33.82 33.82 33.82
Element x y z (fractional)
Cu 0.000 0.000 0.000
Cu 0.492 0.492 0.492
Sn 0.235 0.235 0.235
Sn 0.751 0.751 0.751
Pb 0.373 0.373 0.373
Pb 0.624 0.624 0.624
Pb 0.870 0.870 0.870

Principal peaks in the range 10° ≤ 2θ ≤ 90°, by angle:
| Position (°2θ) | I (rel.) |
| --- | --- |
| 20.28 | 15 |
| 21.21 | 17 |
| 24.58 | 14 |
| 26.85 | 14 |
| 34.94 | 100 |
| 35.15 | 93 |
| 50.40 | 34 |
| 62.67 | 19 |
| 62.80 | 35 |
| 63.19 | 15 |
| 84.46 | 16 |
| 84.81 | 14 |

=====

This entry pairs a crystal structure of PrNiBPt3 with its simulated X-ray diffraction stick pattern. Radiation: Cu Kα (λ = 1.5418 Å). Structure: a cell relaxed with GGA-PBE.
Kinematic intensities with the Lorentz-polarization factor, no thermal factor.

Atomic structure:
a b c (Å): 5.487 5.487 7.393
angles (deg): 90.00 90.00 120.00
Element x y z (fractional)
Pr 0.000 0.000 0.000
Pr 0.000 0.000 0.500
Ni 0.333 0.667 0.000
Ni 0.667 0.333 0.000
B 0.333 0.667 0.500
B 0.667 0.333 0.500
Pt 0.000 0.500 0.288
Pt 0.000 0.500 0.712
Pt 0.500 0.000 0.288
Pt 0.500 0.000 0.712
Pt 0.500 0.500 0.288
Pt 0.500 0.500 0.712

Principal peaks in the range 10° ≤ 2θ ≤ 90°, by angle:
| Position (°2θ) | I (rel.) |
| --- | --- |
| 24.08 | 19 |
| 30.64 | 57 |
| 36.46 | 15 |
| 37.87 | 100 |
| 40.97 | 51 |
| 45.38 | 43 |
| 53.58 | 20 |
| 57.01 | 20 |
| 63.80 | 18 |
| 63.95 | 14 |
| 68.39 | 24 |
| 75.78 | 19 |

=====

This entry pairs a crystal structure of Zn3P2O8 with its simulated X-ray diffraction stick pattern. Radiation: Cu Kα (λ = 1.5418 Å). Structure: a cell relaxed with GGA-PBE.
Kinematic intensities with the Lorentz-polarization factor, no thermal factor.

Atomic structure:
a b c (Å): 5.061 8.399 8.661
angles (deg): 90.00 120.80 90.00
Element x y z (fractional)
Zn 0.000 0.000 0.000
Zn 0.000 0.500 0.500
Zn 0.036 0.136 0.622
Zn 0.036 0.364 0.122
Zn 0.964 0.636 0.878
Zn 0.964 0.864 0.378
P 0.346 0.693 0.307
P 0.346 0.807 0.807
P 0.654 0.193 0.193
P 0.654 0.307 0.693
O 0.196 0.638 0.750
O 0.196 0.862 0.250
O 0.198 0.580 0.142
O 0.198 0.920 0.642
O 0.288 0.634 0.455
O 0.288 0.866 0.955
O 0.305 0.198 0.123
O 0.305 0.302 0.623
O 0.695 0.698 0.377
O 0.695 0.802 0.877
O 0.712 0.134 0.045
O 0.712 0.366 0.545
O 0.802 0.080 0.358
O 0.802 0.420 0.858
O 0.804 0.138 0.750
O 0.804 0.362 0.250

Principal peaks in the range 10° ≤ 2θ ≤ 90°, by angle:
| Position (°2θ) | I (rel.) |
| --- | --- |
| 20.43 | 89 |
| 22.11 | 39 |
| 26.20 | 100 |
| 27.64 | 24 |
| 29.58 | 20 |
| 35.60 | 30 |
| 35.85 | 37 |
| 36.72 | 51 |
| 37.84 | 34 |
| 43.40 | 29 |
| 44.47 | 20 |
| 55.16 | 24 |

=====

This entry pairs a crystal structure of ScCo3Sb2 with its simulated X-ray diffraction stick pattern. Radiation: Cu Kα (λ = 1.5418 Å). Structure: a cell relaxed with GGA-PBE.
Kinematic intensities with the Lorentz-polarization factor, no thermal factor.

Atomic structure:
a b c (Å): 4.224 8.238 5.948
angles (deg): 90.00 90.00 90.00
Element x y z (fractional)
Sc 0.000 0.121 0.000
Sc 0.500 0.879 0.500
Co 0.000 0.391 0.736
Co 0.000 0.621 0.986
Co 0.000 0.858 0.754
Co 0.500 0.142 0.254
Co 0.500 0.379 0.486
Co 0.500 0.609 0.236
Sb 0.000 0.135 0.501
Sb 0.000 0.621 0.470
Sb 0.500 0.379 0.970
Sb 0.500 0.865 0.001

Principal peaks in the range 10° ≤ 2θ ≤ 90°, by angle:
| Position (°2θ) | I (rel.) |
| --- | --- |
| 25.87 | 29 |
| 26.32 | 32 |
| 30.05 | 16 |
| 30.31 | 32 |
| 42.82 | 27 |
| 43.20 | 100 |
| 43.96 | 23 |
| 50.93 | 16 |
| 62.46 | 8 |
| 63.05 | 15 |
| 78.70 | 23 |
| 80.30 | 13 |

=====

This entry pairs a crystal structure of LaTb2Sn3Pb4 with its simulated X-ray diffraction stick pattern. Radiation: Cu Kα (λ = 1.5418 Å). Structure: a cell relaxed with GGA-PBE.
Kinematic intensities with the Lorentz-polarization factor, no thermal factor.

Atomic structure:
a b c (Å): 13.071 13.071 4.729
angles (deg): 90.00 90.00 159.44
Element x y z (fractional)
La 0.000 0.000 0.000
Tb 0.187 0.813 0.000
Tb 0.813 0.187 0.000
Sn 0.402 0.598 0.000
Sn 0.500 0.500 0.500
Sn 0.598 0.402 0.000
Pb 0.098 0.902 0.500
Pb 0.294 0.706 0.500
Pb 0.706 0.294 0.500
Pb 0.902 0.098 0.500

Principal peaks in the range 10° ≤ 2θ ≤ 90°, by angle:
| Position (°2θ) | I (rel.) |
| --- | --- |
| 32.08 | 100 |
| 34.88 | 18 |
| 38.05 | 17 |
| 38.60 | 16 |
| 52.57 | 11 |
| 52.99 | 11 |
| 55.32 | 11 |
| 60.79 | 13 |
| 65.03 | 14 |
| 65.77 | 13 |
| 67.09 | 11 |
| 86.40 | 7 |

=====

This entry pairs a crystal structure of CdGeAsP with its simulated X-ray diffraction stick pattern. Radiation: Cu Kα (λ = 1.5418 Å). Structure: a cell relaxed with GGA-PBE.
Kinematic intensities with the Lorentz-polarization factor, no thermal factor.

Atomic structure:
a b c (Å): 5.925 5.925 6.956
angles (deg): 114.81 114.81 90.00
Element x y z (fractional)
Cd 0.132 0.868 0.500
Cd 0.868 0.132 0.000
Ge 0.395 0.632 0.000
Ge 0.632 0.395 0.500
As 0.008 0.287 0.750
As 0.287 0.008 0.250
P 0.509 0.728 0.750
P 0.728 0.509 0.250

Principal peaks in the range 10° ≤ 2θ ≤ 90°, by angle:
| Position (°2θ) | I (rel.) |
| --- | --- |
| 26.43 | 46 |
| 26.57 | 100 |
| 26.72 | 54 |
| 30.17 | 11 |
| 34.75 | 12 |
| 43.19 | 46 |
| 44.35 | 44 |
| 44.71 | 43 |
| 51.30 | 31 |
| 51.54 | 28 |
| 53.77 | 14 |
| 62.73 | 14 |

=====

This entry pairs a crystal structure of Dy4SiPt3 with its simulated X-ray diffraction stick pattern. Radiation: Cu Kα (λ = 1.5418 Å). Structure: a cell relaxed with GGA-PBE.
Kinematic intensities with the Lorentz-polarization factor, no thermal factor.

Atomic structure:
a b c (Å): 5.694 4.201 7.426
angles (deg): 90.00 90.11 90.00
Element x y z (fractional)
Dy 0.000 0.000 0.000
Dy 0.229 0.000 0.509
Dy 0.494 0.500 0.869
Dy 0.733 0.500 0.359
Si 0.727 0.000 0.643
Pt 0.208 0.500 0.229
Pt 0.518 0.000 0.139
Pt 0.998 0.500 0.720

Principal peaks in the range 10° ≤ 2θ ≤ 90°, by angle:
| Position (°2θ) | I (rel.) |
| --- | --- |
| 19.65 | 20 |
| 29.03 | 39 |
| 32.17 | 83 |
| 33.71 | 63 |
| 35.92 | 100 |
| 39.71 | 34 |
| 40.14 | 95 |
| 43.07 | 44 |
| 51.79 | 27 |
| 55.77 | 30 |
| 60.01 | 20 |
| 69.57 | 22 |

=====

This entry pairs a crystal structure of LaYAu2 with its simulated X-ray diffraction stick pattern. Radiation: Cu Kα (λ = 1.5418 Å). Structure: a cell relaxed with GGA-PBE.
Kinematic intensities with the Lorentz-polarization factor, no thermal factor.

Atomic structure:
a b c (Å): 4.760 5.934 5.934
angles (deg): 37.70 90.00 90.00
Element x y z (fractional)
La 0.000 0.000 0.000
Y 0.500 0.724 0.724
Au 0.000 0.273 0.273
Au 0.500 0.449 0.449

Principal peaks in the range 10° ≤ 2θ ≤ 90°, by angle:
| Position (°2θ) | I (rel.) |
| --- | --- |
| 15.78 | 17 |
| 24.52 | 32 |
| 30.98 | 100 |
| 31.87 | 32 |
| 37.18 | 33 |
| 37.80 | 39 |
| 38.56 | 100 |
| 47.41 | 21 |
| 50.25 | 20 |
| 61.73 | 24 |
| 62.17 | 18 |
| 68.76 | 18 |

=====

This entry pairs a crystal structure of UNiB4 with its simulated X-ray diffraction stick pattern. Radiation: Cu Kα (λ = 1.5418 Å). Structure: a cell relaxed with GGA-PBE.
Kinematic intensities with the Lorentz-polarization factor, no thermal factor.

Atomic structure:
a b c (Å): 6.767 6.767 6.767
angles (deg): 113.12 113.12 102.40
Element x y z (fractional)
U 0.195 0.195 0.000
U 0.250 0.750 0.500
U 0.750 0.250 0.500
U 0.805 0.805 0.000
Ni 0.272 0.500 0.772
Ni 0.500 0.272 0.772
Ni 0.500 0.728 0.228
Ni 0.728 0.500 0.228
B 0.110 0.275 0.385
B 0.110 0.725 0.835
B 0.113 0.113 0.536
B 0.113 0.577 0.000
B 0.275 0.110 0.385
B 0.275 0.890 0.165
B 0.423 0.423 0.536
B 0.423 0.887 0.000
B 0.577 0.113 0.000
B 0.577 0.577 0.464
B 0.725 0.110 0.835
B 0.725 0.890 0.615
B 0.887 0.423 0.000
B 0.887 0.887 0.464
B 0.890 0.275 0.165
B 0.890 0.725 0.615

Principal peaks in the range 10° ≤ 2θ ≤ 90°, by angle:
| Position (°2θ) | I (rel.) |
| --- | --- |
| 20.95 | 24 |
| 23.86 | 100 |
| 28.76 | 22 |
| 31.96 | 96 |
| 33.96 | 65 |
| 40.28 | 95 |
| 48.83 | 44 |
| 55.06 | 28 |
| 59.57 | 32 |
| 71.54 | 23 |
| 72.03 | 23 |
| 85.46 | 21 |

=====

This entry pairs a crystal structure of NdAl2CuAu with its simulated X-ray diffraction stick pattern. Radiation: Cu Kα (λ = 1.5418 Å). Structure: a cell relaxed with GGA-PBE.
Kinematic intensities with the Lorentz-polarization factor, no thermal factor.

Atomic structure:
a b c (Å): 4.330 4.330 10.298
angles (deg): 90.00 90.00 90.00
Element x y z (fractional)
Nd 0.250 0.250 0.244
Nd 0.750 0.750 0.756
Al 0.250 0.250 0.644
Al 0.250 0.750 0.000
Al 0.750 0.250 0.000
Al 0.750 0.750 0.356
Cu 0.250 0.250 0.879
Cu 0.750 0.750 0.121
Au 0.250 0.750 0.500
Au 0.750 0.250 0.500

Principal peaks in the range 10° ≤ 2θ ≤ 90°, by angle:
| Position (°2θ) | I (rel.) |
| --- | --- |
| 22.27 | 12 |
| 25.96 | 15 |
| 30.46 | 43 |
| 33.31 | 33 |
| 34.06 | 100 |
| 34.85 | 13 |
| 41.71 | 45 |
| 54.39 | 16 |
| 55.45 | 14 |
| 60.47 | 15 |
| 61.98 | 17 |
| 71.26 | 24 |

=====

This entry pairs a crystal structure of Nd2AsIBr with its simulated X-ray diffraction stick pattern. Radiation: Cu Kα (λ = 1.5418 Å). Structure: a cell relaxed with GGA-PBE.
Kinematic intensities with the Lorentz-polarization factor, no thermal factor.

Atomic structure:
a b c (Å): 4.261 4.261 10.812
angles (deg): 90.00 90.00 120.00
Element x y z (fractional)
Nd 0.000 0.000 0.000
Nd 0.333 0.667 0.697
As 0.667 0.333 0.848
I 0.333 0.667 0.193
Br 0.000 0.000 0.529

Principal peaks in the range 10° ≤ 2θ ≤ 90°, by angle:
| Position (°2θ) | I (rel.) |
| --- | --- |
| 16.40 | 6 |
| 24.12 | 14 |
| 29.31 | 100 |
| 34.80 | 7 |
| 41.41 | 32 |
| 42.43 | 32 |
| 52.40 | 19 |
| 54.87 | 6 |
| 60.79 | 10 |
| 68.16 | 12 |
| 69.62 | 17 |
| 76.93 | 10 |

=====

This entry pairs a crystal structure of Li3PrHo2Pb3 with its simulated X-ray diffraction stick pattern. Radiation: Cu Kα (λ = 1.5418 Å). Structure: a cell relaxed with GGA-PBE.
Kinematic intensities with the Lorentz-polarization factor, no thermal factor.

Atomic structure:
a b c (Å): 4.771 4.771 11.149
angles (deg): 90.00 90.00 120.00
Element x y z (fractional)
Li 0.000 0.000 0.000
Li 0.333 0.667 0.299
Li 0.333 0.667 0.701
Pr 0.667 0.333 0.500
Ho 0.667 0.333 0.160
Ho 0.667 0.333 0.840
Pb 0.000 0.000 0.317
Pb 0.000 0.000 0.683
Pb 0.333 0.667 0.000

Principal peaks in the range 10° ≤ 2θ ≤ 90°, by angle:
| Position (°2θ) | I (rel.) |
| --- | --- |
| 21.51 | 12 |
| 22.95 | 37 |
| 26.86 | 42 |
| 32.40 | 100 |
| 37.71 | 65 |
| 46.27 | 14 |
| 50.55 | 29 |
| 63.46 | 24 |
| 64.75 | 28 |
| 68.07 | 12 |
| 88.33 | 10 |
| 89.49 | 12 |

=====

This entry pairs a crystal structure of Li2HfZrAl2Pt2 with its simulated X-ray diffraction stick pattern. Radiation: Cu Kα (λ = 1.5418 Å). Structure: a cell relaxed with GGA-PBE.
Kinematic intensities with the Lorentz-polarization factor, no thermal factor.

Atomic structure:
a b c (Å): 4.452 4.452 6.305
angles (deg): 90.00 90.00 90.00
Element x y z (fractional)
Li 0.000 0.500 0.250
Li 0.500 0.000 0.750
Hf 0.000 0.000 0.500
Zr 0.500 0.500 0.000
Al 0.000 0.500 0.750
Al 0.500 0.000 0.250
Pt 0.000 0.000 0.000
Pt 0.500 0.500 0.500

Principal peaks in the range 10° ≤ 2θ ≤ 90°, by angle:
| Position (°2θ) | I (rel.) |
| --- | --- |
| 14.05 | 3 |
| 19.94 | 3 |
| 24.48 | 7 |
| 28.34 | 87 |
| 31.77 | 2 |
| 40.50 | 100 |
| 47.89 | 4 |
| 50.17 | 24 |
| 58.62 | 17 |
| 66.36 | 32 |
| 73.67 | 35 |
| 87.62 | 11 |